Starting from a crystal structure in Alexandria, relaxed with PBE, the powder diffraction line list of BaAcMnSe4 was calculated for Cu Kα (weighted mean of Kα1 and Kα2).

Top 10 peaks for 2θ = 15–90°, by intensity:
d = 2.640 Å, 2θ = 33.95°, I 100; d = 2.464 Å, 2θ = 36.47°, I 83; d = 3.484 Å, 2θ = 25.57°, I 66; d = 2.702 Å, 2θ = 33.16°, I 60; d = 1.820 Å, 2θ = 50.12°, I 53; d = 3.200 Å, 2θ = 27.88°, I 36; d = 3.638 Å, 2θ = 24.47°, I 33; d = 1.454 Å, 2θ = 64.03°, I 32; d = 1.464 Å, 2θ = 63.56°, I 21; d = 2.040 Å, 2θ = 44.41°, I 17

Structure:
```
data_BaAcMnSe4
_chemical_formula_sum 'Ba4 Ac4 Mn4 Se16'
_cell_length_a 6.9644
_cell_length_b 16.1863
_cell_length_c 6.9721
_cell_angle_alpha 90.00
_cell_angle_beta 90.00
_cell_angle_gamma 90.00
_symmetry_space_group_name_H-M 'C m c m'
_symmetry_Int_Tables_number 63
_symmetry_space_group_name_Hall '-C 2c 2'
loop_
_atom_site_label
_atom_site_fract_x
_atom_site_fract_y
_atom_site_fract_z
Ba1 0.0000 0.1082 0.2500
Ac1 0.0000 0.3835 0.2500
Mn1 0.0000 0.2460 0.7500
Se1 0.0000 0.0886 0.7500
Se2 0.0000 0.4246 0.7500
Se3 0.2500 0.2500 0.0000
```